Calculated X-ray powder pattern
Compound: PaHgAu2O6
Radiation: a wavelength of 1.5418 Å
Structure: a DFT-relaxed cell (PBE, Alexandria)

Cell and atoms:
```
data_PaHgAu2O6
_symmetry_space_group_name_H-M 'P 1'
_symmetry_Int_Tables_number 1
_cell_length_a 7.5654
_cell_length_b 7.5654
_cell_length_c 6.2252
_cell_angle_alpha 110.60
_cell_angle_beta 110.60
_cell_angle_gamma 61.12
loop_
_symmetry_equiv_pos_as_xyz
'x,y,z'
loop_
_atom_site_label
_atom_site_fract_x
_atom_site_fract_y
_atom_site_fract_z
Pa1 0.1615 0.8385 0.7500
Pa2 0.8385 0.1615 0.2500
Hg1 0.3507 0.6493 0.2500
Hg2 0.6493 0.3507 0.7500
Au1 0.2191 0.2985 0.2758
Au2 0.2985 0.2191 0.7758
Au3 0.7015 0.7809 0.2242
Au4 0.7809 0.7015 0.7242
O1 0.0649 0.1246 0.6184
O2 0.1147 0.5511 0.7974
O3 0.1246 0.0649 0.1184
O4 0.2875 0.5503 0.4797
O5 0.4489 0.8853 0.7026
O6 0.4497 0.7125 0.0203
O7 0.5503 0.2875 0.9797
O8 0.5511 0.1147 0.2974
O9 0.7125 0.4497 0.5203
O10 0.8754 0.9351 0.8816
O11 0.8853 0.4489 0.2026
O12 0.9351 0.8754 0.3816
```

Most intense lines, 2θ from 10° to 90°, low angle first:
d/Å	2θ (°)	I (rel.)
3.230	27.62	75
3.185	28.01	100
2.973	30.06	75
2.841	31.49	77
2.670	33.57	65
2.474	36.31	53
2.415	37.23	40
1.961	46.30	30